This entry pairs a crystal structure of BaGa2Sn6 with its calculated powder diffraction line list. Radiation: CuKα. Structure: a DFT-relaxed cell (GGA-PBE, Alexandria).

Principal peaks in the range 10 to 90 degrees two-theta, sorted by position:
31.0°, intensity 100, hkl 1 1 2
34.1°, intensity 9, hkl 0 0 4
36.5°, intensity 21, hkl 1 1 3
36.8°, intensity 47, hkl 2 0 0
51.1°, intensity 12, hkl 2 0 4
53.1°, intensity 17, hkl 2 2 0
57.9°, intensity 10, hkl 2 0 5
62.8°, intensity 28, hkl 3 1 2

Atomic structure:
```
BaGa2Sn6
1.0
4.8790 0.0000 0.0000
0.0000 4.8790 0.0000
0.0000 0.0000 10.5132
Ba Ga Sn
1 2 6
Direct
0.0000 0.0000 0.0000
0.5000 0.5000 0.1219
0.5000 0.5000 0.8781
0.0000 0.0000 0.5000
0.0000 0.5000 0.2804
0.0000 0.5000 0.7196
0.5000 0.0000 0.2804
0.5000 0.0000 0.7196
0.5000 0.5000 0.5000
```